[1]
CePr2O6: calculated powder diffraction line list (Cu Kα), based on a GGA-PBE-relaxed structure.
Kinematic intensities with the Lorentz-polarization factor, no thermal factor.

Principal peaks in the range 2θ = 10–80°, most intense first:
2θ 27.4, d 3.253, I = 100
2θ 45.2, d 2.005, I = 37
2θ 54.5, d 1.684, I = 30
2θ 32.2, d 2.782, I = 19
2θ 46.1, d 1.967, I = 18
2θ 52.9, d 1.731, I = 15

Cell and atoms:
```
CePr2O6
1.0
-1.9675 1.9675 8.6766
1.9675 -1.9675 8.6766
1.9675 1.9675 -8.6766
Ce Pr O
1 2 6
Cartesian
0.0000 0.0000 0.0000 Ce
0.0000 0.0000 5.8804 Pr
0.0000 0.0000 11.4728 Pr
1.9675 0.0000 1.3424 O
1.9675 0.0000 4.3383 O
1.9675 0.0000 7.3342 O
0.0000 1.9675 1.3424 O
0.0000 1.9675 4.3383 O
0.0000 1.9675 7.3342 O
```

=====

[2]
LaP3H3O10: calculated powder diffraction line list (Cu Kα), based on a GGA-PBE-relaxed structure.
Kinematic intensities with the Lorentz-polarization factor, no thermal factor.

Principal peaks in the range 2θ = 10–80°, most intense first:
2θ 11.5, d 7.694, I = 100
2θ 10.7, d 8.268, I = 69
2θ 25.3, d 3.526, I = 47
2θ 28.4, d 3.137, I = 34
2θ 28.3, d 3.158, I = 27
2θ 21.4, d 4.158, I = 23

Cell and atoms:
```
LaP3H3O10
1.0
7.2378 0.0000 0.0000
1.7335 8.3074 0.0000
3.1890 3.3678 8.2680
La P H O
2 6 6 20
Cartesian
1.6971 0.7711 0.9962 La
10.4632 10.9041 7.2718 La
3.3808 7.8439 4.7450 P
4.9630 2.8855 6.0212 P
4.8818 5.6207 1.3453 P
7.2785 6.0545 6.9227 P
7.1973 8.7897 2.2468 P
8.7795 3.8313 3.5230 P
5.4651 8.9365 6.7353 H
4.9735 3.7795 4.9335 H
5.0982 5.5876 2.7468 H
7.0621 6.0876 5.5212 H
7.1868 7.8957 3.3345 H
6.6952 2.7387 1.5327 H
3.1047 8.4123 3.3906 O
1.8708 2.9127 2.3706 O
4.7470 8.8826 7.4473 O
3.9184 6.4891 4.9572 O
3.9142 3.3896 7.0509 O
3.7405 6.5815 1.0296 O
5.9871 5.6473 7.6317 O
6.2644 9.8014 5.5094 O
4.5227 4.1151 1.0817 O
5.8011 8.7755 1.6066 O
6.3592 2.8997 6.6614 O
7.6376 7.5601 7.1863 O
5.8959 1.8738 2.7586 O
6.1732 6.0279 0.6363 O
8.4198 5.0937 7.2384 O
8.2460 8.2857 1.2171 O
8.2419 5.1862 3.3108 O
7.4133 2.7926 0.8207 O
10.2895 8.7625 5.8974 O
9.0555 3.2629 4.8775 O
```

=====

[3]
CeZr7O16: calculated powder diffraction line list (Cu Kα), based on a GGA-PBE-relaxed structure.
Kinematic intensities with the Lorentz-polarization factor, no thermal factor.

Principal peaks in the range 2θ = 10–80°, most intense first:
2θ 29.6, d 3.021, I = 100
2θ 49.0, d 1.857, I = 37
2θ 58.9, d 1.568, I = 27
2θ 49.7, d 1.835, I = 19
2θ 57.7, d 1.597, I = 14
2θ 34.6, d 2.595, I = 14

Cell and atoms:
```
CeZr7O16
1.0
6.4631 -3.6696 0.0000
6.4631 3.6696 0.0000
-2.2939 0.0000 6.0419
Ce Zr O
1 7 16
Cartesian
0.0000 0.0000 0.0000 Ce
2.1105 0.0000 3.0263 Zr
5.3265 1.8260 3.0263 Zr
6.4391 0.0000 0.0071 Zr
7.3928 1.8111 6.0257 Zr
8.5481 0.0000 2.9909 Zr
5.3265 -1.8260 3.0263 Zr
7.3928 -1.8111 6.0257 Zr
2.9452 1.8343 2.4226 O
0.1622 0.0000 2.1926 O
5.1419 1.8038 0.9067 O
2.3852 0.0000 0.5891 O
5.1002 1.7346 5.3968 O
2.2808 0.0000 5.1131 O
7.2292 1.8469 3.9254 O
4.4301 0.0000 3.5501 O
2.9452 -1.8343 2.4226 O
6.6389 0.0000 2.1062 O
5.1419 -1.8038 0.9067 O
8.8658 0.0000 0.6673 O
5.1002 -1.7346 5.3968 O
8.6124 0.0000 5.1136 O
7.2292 -1.8469 3.9254 O
10.8871 0.0000 3.5997 O
```

=====

What is the formula in the third record?
CeZr7O16

=====

What is the formula in the third record?
CeZr7O16